Entry 1:
# TbTlMo2O8
Theoretical X-ray diffraction stick pattern, Cu Kα (λ = 1.5418 Å). Input: DFT lattice parameters and positions (GGA+U).

Peak list (12 most intense, 2θ from 10° to 80°, low angle first)
| 2θ (°) | I/Imax |
| --- | --- |
| 20.90 | 54 |
| 22.32 | 23 |
| 24.86 | 56 |
| 28.25 | 100 |
| 28.93 | 76 |
| 29.39 | 76 |
| 34.79 | 25 |
| 37.62 | 22 |
| 44.29 | 20 |
| 45.86 | 61 |
| 52.26 | 34 |
| 54.03 | 33 |

Cell and atoms:
a = 5.1581 Å, b = 18.8072 Å, c = 8.1799 Å
α = 90.00°, β = 90.00°, γ = 90.00°
Space group Pbcn (No. 60)
Symmetry-distinct sites (fractional):
Tb 0.0000 0.0064 0.2500 (multiplicity 4)
Tl 0.0000 0.2302 0.7500 (multiplicity 4)
Mo 0.0227 0.3999 0.0163 (multiplicity 8)
O 0.1008 0.3127 0.4754 (multiplicity 8)
O 0.2300 0.4019 0.8400 (multiplicity 8)
O 0.2418 0.4094 0.1889 (multiplicity 8)
O 0.2484 0.0356 0.0046 (multiplicity 8)

=====

Entry 2:
# Te2MoO7
Theoretical X-ray diffraction stick pattern, Cu Kα (λ = 1.5418 Å). Input: DFT lattice parameters and positions (GGA+U).

Peak list (12 most intense, 2θ from 10° to 80°, low angle first)
| 2θ (°) | I/Imax |
| --- | --- |
| 14.70 | 38 |
| 19.28 | 72 |
| 22.11 | 46 |
| 22.32 | 89 |
| 22.69 | 88 |
| 25.61 | 94 |
| 28.59 | 50 |
| 29.52 | 96 |
| 29.65 | 100 |
| 31.26 | 54 |
| 35.13 | 39 |
| 49.88 | 49 |

Cell and atoms:
a = 4.3892 Å, b = 9.1941 Å, c = 16.0570 Å
α = 90.00°, β = 96.42°, γ = 90.00°
Space group P2_1/c (No. 14)
Symmetry-distinct sites (fractional):
Te 0.1659 0.0281 0.2794 (multiplicity 4)
Te 0.2915 0.2118 0.6124 (multiplicity 4)
Mo 0.1186 0.6311 0.5686 (multiplicity 4)
O 0.0233 0.6839 0.0625 (multiplicity 4)
O 0.0307 0.1006 0.0514 (multiplicity 4)
O 0.0629 0.6011 0.6863 (multiplicity 4)
O 0.1056 0.6524 0.8586 (multiplicity 4)
O 0.4090 0.1591 0.2019 (multiplicity 4)
O 0.4174 0.0326 0.6877 (multiplicity 4)
O 0.4850 0.1255 0.9314 (multiplicity 4)

=====

Entry 3:
# TeMo5O16
Theoretical X-ray diffraction stick pattern, Cu Kα (λ = 1.5418 Å). Input: DFT lattice parameters and positions (GGA+U).

Peak list (12 most intense, 2θ from 10° to 80°, low angle first)
| 2θ (°) | I/Imax |
| --- | --- |
| 21.48 | 100 |
| 24.09 | 16 |
| 25.63 | 42 |
| 26.02 | 70 |
| 27.94 | 26 |
| 29.79 | 38 |
| 33.67 | 14 |
| 33.98 | 24 |
| 37.02 | 14 |
| 43.75 | 14 |
| 47.53 | 17 |
| 50.84 | 18 |

Cell and atoms:
a = 4.1377 Å, b = 7.3880 Å, c = 20.5501 Å
α = 90.00°, β = 90.16°, γ = 90.00°
Space group Pc (No. 7)
Symmetry-distinct sites (fractional):
Te 0.0000 0.0815 0.0000 (multiplicity 2)
Mo 0.1095 0.2488 0.1672 (multiplicity 2)
Mo 0.1119 0.2508 0.8393 (multiplicity 2)
Mo 0.1231 0.4791 0.5037 (multiplicity 2)
Mo 0.9413 0.2450 0.6608 (multiplicity 2)
Mo 0.9428 0.2442 0.3463 (multiplicity 2)
O 0.0224 0.0101 0.1323 (multiplicity 2)
O 0.0251 0.0114 0.8765 (multiplicity 2)
O 0.0289 0.4949 0.1785 (multiplicity 2)
O 0.0304 0.4960 0.8277 (multiplicity 2)
O 0.0384 0.3166 0.4374 (multiplicity 2)
O 0.0390 0.1860 0.7544 (multiplicity 2)
O 0.0393 0.3023 0.0627 (multiplicity 2)
O 0.0386 0.3172 0.5697 (multiplicity 2)
O 0.0402 0.1866 0.2526 (multiplicity 2)
O 0.0417 0.3059 0.9419 (multiplicity 2)
O 0.5221 0.2429 0.6624 (multiplicity 2)
O 0.5235 0.2421 0.3445 (multiplicity 2)
O 0.5300 0.2511 0.1627 (multiplicity 2)
O 0.5321 0.2520 0.8435 (multiplicity 2)
O 0.5424 0.4860 0.5038 (multiplicity 2)
O 0.5498 0.0764 0.9959 (multiplicity 2)

=====

Entry 4:
# ThTe2MoO9
Theoretical X-ray diffraction stick pattern, Cu Kα (λ = 1.5418 Å). Input: DFT lattice parameters and positions (GGA+U).

Peak list (12 most intense, 2θ from 10° to 80°, low angle first)
| 2θ (°) | I/Imax |
| --- | --- |
| 22.86 | 51 |
| 25.89 | 99 |
| 26.84 | 55 |
| 27.67 | 100 |
| 28.04 | 37 |
| 29.08 | 73 |
| 30.03 | 51 |
| 44.09 | 18 |
| 44.55 | 31 |
| 45.85 | 49 |
| 48.59 | 20 |
| 50.57 | 25 |

Cell and atoms:
a = 21.7139 Å, b = 7.1498 Å, c = 11.0353 Å
α = 90.00°, β = 110.51°, γ = 90.00°
Space group C2/c (No. 15)
Symmetry-distinct sites (fractional):
Th 0.1527 0.1544 0.4770 (multiplicity 8)
Te 0.1096 0.3353 0.7843 (multiplicity 8)
Te 0.2370 0.4242 0.1669 (multiplicity 8)
Mo 0.0400 0.2142 0.0945 (multiplicity 8)
O 0.0342 0.4511 0.1384 (multiplicity 8)
O 0.0454 0.1471 0.4991 (multiplicity 8)
O 0.0776 0.0977 0.2491 (multiplicity 8)
O 0.0929 0.2037 0.0017 (multiplicity 8)
O 0.1403 0.4512 0.3855 (multiplicity 8)
O 0.1545 0.3716 0.6629 (multiplicity 8)
O 0.1832 0.1611 0.8838 (multiplicity 8)
O 0.2129 0.9996 0.1637 (multiplicity 8)
O 0.2456 0.1481 0.4081 (multiplicity 8)